Entry 1:
The following is a calculated powder diffractogram of Nd2Ta3Se2O8. It was derived from the PBE geometry in the Materials Project, using a wavelength of 1.5418 Å.
No peak broadening, texture or thermal motion is included.

Most intense lines, 5° ≤ 2θ ≤ 70°, by intensity:
2θ = 29.12°, rel. 100
2θ = 27.86°, rel. 99
2θ = 27.68°, rel. 60
2θ = 30.78°, rel. 39
2θ = 30.37°, rel. 39
2θ = 47.51°, rel. 38
2θ = 53.52°, rel. 36
2θ = 14.82°, rel. 35
2θ = 37.23°, rel. 30
2θ = 33.69°, rel. 29

Atomic structure:
```
data_Nd2Ta3Se2O8
_space_group_name_H-M_alt 'P n n m'
_space_group_IT_number 58
_cell_length_a 9.9733
_cell_length_b 11.9551
_cell_length_c 7.6546
_cell_angle_alpha 90.00
_cell_angle_beta 90.00
_cell_angle_gamma 90.00
loop_
_space_group_symop_operation_xyz
'x,y,z'
'-x,-y,-z'
'-x,-y,z'
'x,y,-z'
'x+1/2,-y+1/2,-z+1/2'
'-x+1/2,y+1/2,z+1/2'
'-x+1/2,y+1/2,-z+1/2'
'x+1/2,-y+1/2,z+1/2'
loop_
_atom_site_label
_atom_site_type_symbol
_atom_site_fract_x
_atom_site_fract_y
_atom_site_fract_z
_atom_site_occupancy
Nd1 Nd 0.2098 0.1565 0.0000 1
Nd2 Nd 0.2270 0.1488 0.5000 1
Ta1 Ta 0.0000 0.5000 0.2856 1
Ta2 Ta 0.1356 0.9157 0.2498 1
Se1 Se 0.0185 0.3357 0.5000 1
Se2 Se 0.0233 0.3600 0.0000 1
O1 O 0.0571 0.1034 0.2547 1
O2 O 0.1341 0.9492 0.0000 1
O3 O 0.1493 0.9512 0.5000 1
O4 O 0.1975 0.5246 0.2637 1
O5 O 0.2135 0.7750 0.2470 1
```

---

Entry 2:
The following is a calculated powder diffractogram of Nd5Si3O13. It was derived from the PBE geometry in the Materials Project, using a wavelength of 1.5418 Å.
No peak broadening, texture or thermal motion is included.

Most intense lines, 5° ≤ 2θ ≤ 70°, by intensity:
2θ = 30.87°, rel. 100
2θ = 31.26°, rel. 65
2θ = 27.31°, rel. 45
2θ = 28.12°, rel. 42
2θ = 45.33°, rel. 35
2θ = 31.98°, rel. 34
2θ = 21.16°, rel. 33
2θ = 48.00°, rel. 33
2θ = 50.53°, rel. 31
2θ = 49.77°, rel. 29

Atomic structure:
```
data_Nd5Si3O13
_space_group_name_H-M_alt 'P 63'
_space_group_IT_number 173
_cell_length_a 9.6946
_cell_length_b 9.6946
_cell_length_c 7.0904
_cell_angle_alpha 90.00
_cell_angle_beta 90.00
_cell_angle_gamma 120.00
loop_
_space_group_symop_operation_xyz
'x,y,z'
'x-y,x,z+1/2'
'-y,x-y,z'
'-x,-y,z+1/2'
'-x+y,-x,z'
'y,-x+y,z+1/2'
loop_
_atom_site_label
_atom_site_type_symbol
_atom_site_fract_x
_atom_site_fract_y
_atom_site_fract_z
_atom_site_occupancy
Nd1 Nd 0.0085 0.7695 0.0000 1
Nd2 Nd 0.3333 0.6667 0.2523 1
Nd3 Nd 0.3333 0.6667 0.7555 1
Si1 Si 0.0279 0.6299 0.4996 1
O1 O 0.0000 0.0000 0.4539 1
O2 O 0.0822 0.7557 0.6783 1
O3 O 0.0992 0.7436 0.3114 1
O4 O 0.1210 0.5273 0.5132 1
O5 O 0.1664 0.4820 0.9973 1
```

---

Entry 3:
The following is a calculated powder diffractogram of NdSiO4. It was derived from the PBE geometry in the Materials Project, using a wavelength of 1.5418 Å.
No peak broadening, texture or thermal motion is included.

Most intense lines, 5° ≤ 2θ ≤ 70°, by intensity:
2θ = 24.61°, rel. 100
2θ = 32.85°, rel. 68
2θ = 18.44°, rel. 59
2θ = 48.82°, rel. 56
2θ = 30.92°, rel. 24
2θ = 39.91°, rel. 23
2θ = 47.45°, rel. 22
2θ = 35.08°, rel. 20
2θ = 61.52°, rel. 17
2θ = 43.98°, rel. 15

Atomic structure:
```
data_NdSiO4
_space_group_name_H-M_alt 'I 41/a m d'
_space_group_IT_number 141
_cell_length_a 7.2359
_cell_length_b 7.2359
_cell_length_c 6.4432
_cell_angle_alpha 90.00
_cell_angle_beta 90.00
_cell_angle_gamma 90.00
loop_
_space_group_symop_operation_xyz
'x,y,z'
'-x,-y,-z'
'-y+1/4,x+3/4,z+1/4'
'y+1/4,-x+3/4,-z+1/4'
'-x+1/2,-y,z+1/2'
'x+1/2,y,-z+1/2'
'y+1/4,-x+1/4,z+3/4'
'-y+1/4,x+1/4,-z+3/4'
'x,-y,-z'
'-x,y,z'
'-y+1/4,-x+1/4,-z+3/4'
'y+1/4,x+1/4,z+3/4'
'-x+1/2,y,-z+1/2'
'x+1/2,-y,z+1/2'
'y+1/4,x+3/4,-z+1/4'
'-y+1/4,-x+3/4,z+1/4'
'x+1/2,y+1/2,z+1/2'
'-x+1/2,-y+1/2,-z+1/2'
'-y+3/4,x+1/4,z+3/4'
'y+3/4,-x+1/4,-z+3/4'
'-x,-y+1/2,z'
'x,y+1/2,-z'
'y+3/4,-x+3/4,z+1/4'
'-y+3/4,x+3/4,-z+1/4'
'x+1/2,-y+1/2,-z+1/2'
'-x+1/2,y+1/2,z+1/2'
'-y+3/4,-x+3/4,-z+1/4'
'y+3/4,x+3/4,z+1/4'
'-x,y+1/2,-z'
'x,-y+1/2,z'
'y+3/4,x+1/4,-z+3/4'
'-y+3/4,-x+1/4,z+3/4'
loop_
_atom_site_label
_atom_site_type_symbol
_atom_site_fract_x
_atom_site_fract_y
_atom_site_fract_z
_atom_site_occupancy
Nd1 Nd 0.0000 0.2500 0.3750 1
Si1 Si 0.0000 0.2500 0.8750 1
O1 O 0.0000 0.0743 0.7124 1
```

---

Entry 4:
The following is a calculated powder diffractogram of Nd2SiTeO4. It was derived from the PBE geometry in the Materials Project, using a wavelength of 1.5418 Å.
No peak broadening, texture or thermal motion is included.

Most intense lines, 5° ≤ 2θ ≤ 70°, by intensity:
2θ = 31.70°, rel. 100
2θ = 29.22°, rel. 75
2θ = 39.09°, rel. 32
2θ = 34.66°, rel. 31
2θ = 24.38°, rel. 26
2θ = 29.39°, rel. 20
2θ = 39.82°, rel. 16
2θ = 66.28°, rel. 14
2θ = 51.15°, rel. 14
2θ = 37.17°, rel. 13

Atomic structure:
```
data_Nd2SiTeO4
_space_group_name_H-M_alt 'P b c m'
_space_group_IT_number 57
_cell_length_a 6.3577
_cell_length_b 7.2672
_cell_length_c 11.3019
_cell_angle_alpha 90.00
_cell_angle_beta 90.00
_cell_angle_gamma 90.00
loop_
_space_group_symop_operation_xyz
'x,y,z'
'-x,-y,-z'
'-x,-y,z+1/2'
'x,y,-z+1/2'
'x,-y+1/2,-z'
'-x,y+1/2,z'
'-x,y+1/2,-z+1/2'
'x,-y+1/2,z+1/2'
loop_
_atom_site_label
_atom_site_type_symbol
_atom_site_fract_x
_atom_site_fract_y
_atom_site_fract_z
_atom_site_occupancy
Nd1 Nd 0.1121 0.2500 0.0000 1
Nd2 Nd 0.3872 0.5389 0.2500 1
Si1 Si 0.3857 0.7500 0.0000 1
Te1 Te 0.0961 0.5792 0.7500 1
O1 O 0.2305 0.5771 0.0356 1
O2 O 0.4521 0.2307 0.6152 1
```

---

Entry 5:
The following is a calculated powder diffractogram of Nd2SiTeO4. It was derived from the PBE geometry in the Materials Project, using a wavelength of 1.5418 Å.
No peak broadening, texture or thermal motion is included.

Most intense lines, 5° ≤ 2θ ≤ 70°, by intensity:
2θ = 25.85°, rel. 100
2θ = 29.41°, rel. 75
2θ = 28.39°, rel. 72
2θ = 27.56°, rel. 64
2θ = 31.64°, rel. 63
2θ = 36.16°, rel. 56
2θ = 30.32°, rel. 39
2θ = 43.64°, rel. 36
2θ = 38.14°, rel. 35
2θ = 35.14°, rel. 34

Atomic structure:
```
data_Nd2SiTeO4
_space_group_name_H-M_alt 'P 1 21/c 1'
_space_group_IT_number 14
_cell_length_a 9.9770
_cell_length_b 6.4740
_cell_length_c 8.7955
_cell_angle_alpha 90.00
_cell_angle_beta 95.29
_cell_angle_gamma 90.00
loop_
_space_group_symop_operation_xyz
'x,y,z'
'-x,-y,-z'
'-x,y+1/2,-z+1/2'
'x,-y+1/2,z+1/2'
loop_
_atom_site_label
_atom_site_type_symbol
_atom_site_fract_x
_atom_site_fract_y
_atom_site_fract_z
_atom_site_occupancy
Nd1 Nd 0.1058 0.1527 0.1951 1
Nd2 Nd 0.3463 0.6960 0.3368 1
Si1 Si 0.1254 0.6907 0.0572 1
Te1 Te 0.4091 0.2135 0.3807 1
O1 O 0.0193 0.1943 0.9223 1
O2 O 0.1255 0.6334 0.8760 1
O3 O 0.1569 0.5094 0.1839 1
O4 O 0.2480 0.6382 0.5919 1
```

---

Entry 6:
The following is a calculated powder diffractogram of Nd2Sn2O7. It was derived from the PBE geometry in the Materials Project, using a wavelength of 1.5418 Å.
No peak broadening, texture or thermal motion is included.

Most intense lines, 5° ≤ 2θ ≤ 70°, by intensity:
2θ = 28.81°, rel. 100
2θ = 47.94°, rel. 53
2θ = 56.90°, rel. 45
2θ = 33.39°, rel. 31
2θ = 59.68°, rel. 9
2θ = 27.56°, rel. 1
2θ = 43.82°, rel. 1

Atomic structure:
Cell: 10.7340 10.7340 10.7340 Å, 90.00 90.00 90.00°
Space group Fd-3m (No. 227, origin choice 2)
Symmetry-distinct sites (fractional):
Nd  0.0000  0.0000  0.0000 (multiplicity 16)
Sn  0.0000  0.0000  0.5000 (multiplicity 16)
O  0.1166  0.3750  0.8750 (multiplicity 48)
O  0.1250  0.1250  0.6250 (multiplicity 8)

---

Entry 7:
The following is a calculated powder diffractogram of Nd2Sn2O7. It was derived from the PBE geometry in the Materials Project, using a wavelength of 1.5418 Å.
No peak broadening, texture or thermal motion is included.

Most intense lines, 5° ≤ 2θ ≤ 70°, by intensity:
2θ = 28.86°, rel. 100
2θ = 48.03°, rel. 49
2θ = 57.01°, rel. 45
2θ = 33.45°, rel. 33
2θ = 59.79°, rel. 11
2θ = 36.55°, rel. 2
2θ = 43.90°, rel. 1
2θ = 14.32°, rel. 1

Atomic structure:
Cell: 10.7155 10.7155 10.7155 Å, 90.00 90.00 90.00°
Space group Fd-3m (No. 227, origin choice 2)
Symmetry-distinct sites (fractional):
Nd  0.0000  0.0000  0.0000 (multiplicity 16)
Sn  0.0000  0.0000  0.5000 (multiplicity 16)
O  0.0842  0.3750  0.8750 (multiplicity 48)
O  0.1250  0.1250  0.1250 (multiplicity 8)

---

Entry 8:
The following is a calculated powder diffractogram of NdTi4SnO12. It was derived from the PBE geometry in the Materials Project, using a wavelength of 1.5418 Å.
No peak broadening, texture or thermal motion is included.

Most intense lines, 5° ≤ 2θ ≤ 70°, by intensity:
2θ = 20.10°, rel. 100
2θ = 32.94°, rel. 57
2θ = 39.33°, rel. 30
2θ = 33.46°, rel. 29
2θ = 59.48°, rel. 25
2θ = 38.44°, rel. 18
2θ = 51.86°, rel. 14
2θ = 58.49°, rel. 13
2θ = 46.49°, rel. 13
2θ = 47.97°, rel. 10

Atomic structure:
```
data_NdTi4SnO12
_space_group_name_H-M_alt 'A m m 2'
_space_group_IT_number 38
_cell_length_a 7.8127
_cell_length_b 7.5858
_cell_length_c 7.5648
_cell_angle_alpha 90.00
_cell_angle_beta 90.00
_cell_angle_gamma 90.00
loop_
_space_group_symop_operation_xyz
'x,y,z'
'-x,-y,z'
'-x,y,z'
'x,-y,z'
'x,y+1/2,z+1/2'
'-x,-y+1/2,z+1/2'
'-x,y+1/2,z+1/2'
'x,-y+1/2,z+1/2'
loop_
_atom_site_label
_atom_site_type_symbol
_atom_site_fract_x
_atom_site_fract_y
_atom_site_fract_z
_atom_site_occupancy
Nd1 Nd 0.0000 0.0000 0.0000 1
Ti1 Ti 0.2472 0.2488 0.7278 1
Sn1 Sn 0.5000 0.0000 0.4525 1
O1 O 0.0000 0.2032 0.7234 1
O2 O 0.2077 0.0000 0.2558 1
O3 O 0.2413 0.1979 0.9713 1
O4 O 0.3190 0.0000 0.6458 1
O5 O 0.5000 0.1943 0.2695 1
```

---

Entry 9:
The following is a calculated powder diffractogram of SrNd2O4. It was derived from the PBE geometry in the Materials Project, using a wavelength of 1.5418 Å.
No peak broadening, texture or thermal motion is included.

Most intense lines, 5° ≤ 2θ ≤ 70°, by intensity:
2θ = 29.07°, rel. 100
2θ = 50.69°, rel. 47
2θ = 46.31°, rel. 41
2θ = 30.39°, rel. 36
2θ = 15.06°, rel. 33
2θ = 35.24°, rel. 25
2θ = 60.26°, rel. 18
2θ = 24.72°, rel. 15
2θ = 59.50°, rel. 13
2θ = 53.19°, rel. 7

Atomic structure:
Cell: 10.1879 10.1879 10.1879 Å, 90.00 90.00 90.00°
Space group Fd-3m (No. 227, origin choice 2)
Symmetry-distinct sites (fractional):
Sr  0.1250  0.1250  0.1250 (multiplicity 8)
Nd  0.0000  0.0000  0.5000 (multiplicity 16)
O  0.0146  0.0146  0.7354 (multiplicity 32)

---

What did the first record say?
The following is a calculated powder diffractogram of Nd2Ta3Se2O8. It was derived from the PBE geometry in the Materials Project, using a wavelength of 1.5418 Å.
No peak broadening, texture or thermal motion is included.

Most intense lines, 5° ≤ 2θ ≤ 70°, by intensity:
2θ = 29.12°, rel. 100
2θ = 27.86°, rel. 99
2θ = 27.68°, rel. 60
2θ = 30.78°, rel. 39
2θ = 30.37°, rel. 39
2θ = 47.51°, rel. 38
2θ = 53.52°, rel. 36
2θ = 14.82°, rel. 35
2θ = 37.23°, rel. 30
2θ = 33.69°, rel. 29

Atomic structure:
```
data_Nd2Ta3Se2O8
_space_group_name_H-M_alt 'P n n m'
_space_group_IT_number 58
_cell_length_a 9.9733
_cell_length_b 11.9551
_cell_length_c 7.6546
_cell_angle_alpha 90.00
_cell_angle_beta 90.00
_cell_angle_gamma 90.00
loop_
_space_group_symop_operation_xyz
'x,y,z'
'-x,-y,-z'
'-x,-y,z'
'x,y,-z'
'x+1/2,-y+1/2,-z+1/2'
'-x+1/2,y+1/2,z+1/2'
'-x+1/2,y+1/2,-z+1/2'
'x+1/2,-y+1/2,z+1/2'
loop_
_atom_site_label
_atom_site_type_symbol
_atom_site_fract_x
_atom_site_fract_y
_atom_site_fract_z
_atom_site_occupancy
Nd1 Nd 0.2098 0.1565 0.0000 1
Nd2 Nd 0.2270 0.1488 0.5000 1
Ta1 Ta 0.0000 0.5000 0.2856 1
Ta2 Ta 0.1356 0.9157 0.2498 1
Se1 Se 0.0185 0.3357 0.5000 1
Se2 Se 0.0233 0.3600 0.0000 1
O1 O 0.0571 0.1034 0.2547 1
O2 O 0.1341 0.9492 0.0000 1
O3 O 0.1493 0.9512 0.5000 1
O4 O 0.1975 0.5246 0.2637 1
O5 O 0.2135 0.7750 0.2470 1
```